For Fe4CuNiO8, DFT lattice parameters and positions (GGA+U) gives the simulated powder diffraction line list in this record (Cu Kα X-rays).
Kinematic intensities with the Lorentz-polarization factor, no thermal factor.

Structural model:
Cell lengths 10.3157, 5.8738, 5.8168 Å; angles 90.00, 123.75, 90.00 degrees
Space group C2/m (No. 12)
One atom of each set of equivalent atoms:
Fe 0.1125 0.0000 0.3663 [4 per cell]
Fe 0.2500 0.2500 0.0000 [4 per cell]
Cu 0.0000 0.5000 0.5000 [2 per cell]
Ni 0.0000 0.5000 0.0000 [2 per cell]
O 0.0217 0.2635 0.7629 [8 per cell]
O 0.2338 0.0000 0.2120 [4 per cell]
O 0.2468 0.5000 0.2299 [4 per cell]

Main lines, most intense first (2θ = 15–90°):
two_theta, I (rel.), hkl
35.82, 100, 2 2 -1
34.88, 95, 2 0 1
36.11, 63, 3 1 -2
35.92, 57, 1 1 -2
62.16, 50, 2 2 2
62.66, 48, 6 2 -2
43.81, 48, 2 2 -2
37.12, 32, 2 2 0
30.14, 31, 3 1 -1
57.87, 31, 3 3 -2